Record 1
Simulated powder XRD pattern
Compound: CsNdNiS3
Radiation: Cu Kα, 1.54184 Å
Structure: a structure optimized by DFT (PBE)
Peak positions follow from Bragg's law for the DFT cell and can differ from measured ones.

The 6 most intense peaks (2θ = 10–80°), by angle:
11.5°, d 7.714, I 63.6; 20.0°, d 4.439, I 94.0; 23.1°, d 3.857, I 65.9; 28.0°, d 3.192, I 90.2; 29.1°, d 3.065, I 100.0; 40.7°, d 2.219, I 52.7

Structure:
Unit cell a=7.979 b=7.979 c=10.854 alpha=90.00 beta=90.00 gamma=150.39
Sites, in units of the cell vectors:
Cs: 0.241 0.759 0.750
Cs: 0.759 0.241 0.250
Nd: 0.500 0.500 0.000
Nd: 0.500 0.500 0.500
Ni: 0.032 0.968 0.250
Ni: 0.968 0.032 0.750
S: 0.114 0.886 0.077
S: 0.114 0.886 0.423
S: 0.455 0.545 0.250
S: 0.545 0.455 0.750
S: 0.886 0.114 0.577
S: 0.886 0.114 0.923


Record 2
Simulated powder XRD pattern
Compound: PrBiPO
Radiation: Cu Kα, 1.54184 Å
Structure: a structure optimized by DFT (PBE)
Peak positions follow from Bragg's law for the DFT cell and can differ from measured ones.

The 6 most intense peaks (2θ = 10–80°), by angle:
18.0°, d 4.915, I 50.1; 27.6°, d 3.236, I 34.0; 30.8°, d 2.904, I 100.0; 34.7°, d 2.585, I 43.0; 42.0°, d 2.149, I 38.9; 47.6°, d 1.911, I 38.0

Structure:
Unit cell a=4.298 b=4.298 c=9.829 alpha=90.00 beta=90.00 gamma=90.00
Sites, in units of the cell vectors:
Pr: 0.250 0.250 0.109
Pr: 0.750 0.750 0.891
Bi: 0.250 0.750 0.500
Bi: 0.750 0.250 0.500
P: 0.250 0.250 0.727
P: 0.750 0.750 0.273
O: 0.250 0.750 0.000
O: 0.750 0.250 0.000


Record 3
Simulated powder XRD pattern
Compound: Nd2AlSiCl2
Radiation: Cu Kα, 1.54184 Å
Structure: a structure optimized by DFT (PBE)
Peak positions follow from Bragg's law for the DFT cell and can differ from measured ones.

The 6 most intense peaks (2θ = 10–80°), by angle:
15.7°, d 5.644, I 36.4; 24.9°, d 3.580, I 54.2; 29.6°, d 3.023, I 73.6; 34.6°, d 2.593, I 100.0; 43.8°, d 2.067, I 41.0; 47.6°, d 1.909, I 27.7

Structure:
Unit cell a=4.133 b=4.133 c=11.288 alpha=90.00 beta=90.00 gamma=120.00
Sites, in units of the cell vectors:
Nd: 0.000 0.000 0.000
Nd: 0.000 0.000 0.377
Al: 0.667 0.333 0.175
Si: 0.333 0.667 0.204
Cl: 0.333 0.667 0.852
Cl: 0.667 0.333 0.526